For CaCd6F12, a cell relaxed with GGA-PBE gives the computed powder X-ray diffraction pattern in this record (Cu Ka).
Peak positions follow from Bragg's law for the DFT cell and can differ from measured ones.

Largest 10 diffraction maxima, in order of rising 2θ, 2θ = 10–90°:
d [Å]  intensity
5.233  144
3.225  1000
3.184  291
2.784  311
2.720  82
1.978  339
1.959  295
1.686  119
1.680  213
1.669  121

Cell and atoms:
```
19
Lattice="5.2328 3.0211 3.1842 -5.2328 3.0211 3.1842 0.0000 -6.0423 3.1842" Properties=species:S:1:pos:R:3 pbc="T T T"
Ca 0.0000 0.0000 0.0000
Cd -0.9056 -2.3077 3.3646
Cd -1.5457 1.9381 3.3646
Cd -2.4513 -0.3696 6.1879
Cd 2.4513 0.3696 3.3646
Cd 1.5457 -1.9381 6.1879
Cd 0.9056 2.3077 6.1879
F -4.4846 -1.1562 5.2835
F -1.2411 -4.4619 4.2689
F -2.1076 -0.2683 3.7508
F -3.2436 3.3057 4.2689
F -0.8215 -1.9594 5.8017
F 1.2861 -1.6911 3.7508
F -1.2861 1.6911 5.8017
F 0.8215 1.9594 3.7508
F 3.2436 -3.3057 5.2835
F 2.1076 0.2683 5.8017
F 1.2411 4.4619 5.2835
F 4.4847 1.1562 4.2689
```